# 1
This entry pairs a crystal structure of Cs2Li2GeO4 with its calculated X-ray powder pattern. Radiation: λ = 1.5418 Å (Cu Kα). Structure: a crystal structure in the Materials Project, relaxed with PBE.
No peak broadening, texture or thermal motion is included.

Structural model:
```
Cs2Li2GeO4
1.0
5.7445 0.0000 0.0000
0.3560 5.8867 0.0000
2.2416 0.7958 9.3662
Cs Li Ge O
4 4 2 8
Direct
0.0147 0.1449 0.2921 Cs
0.2857 0.7337 0.0122 Cs
0.7143 0.2663 0.9878 Cs
0.9853 0.8551 0.7079 Cs
0.1941 0.5872 0.4204 Li
0.4332 0.1868 0.4403 Li
0.5668 0.8132 0.5597 Li
0.8059 0.4128 0.5796 Li
0.3629 0.3173 0.7047 Ge
0.6371 0.6827 0.2953 Ge
0.1466 0.3602 0.5934 O
0.2348 0.1991 0.8783 O
0.4035 0.8623 0.3986 O
0.4819 0.4303 0.2887 O
0.5181 0.5697 0.7113 O
0.5965 0.1377 0.6014 O
0.7652 0.8009 0.1217 O
0.8534 0.6398 0.4066 O
```

The 10 most intense peaks (5° ≤ 2θ ≤ 70°), by angle:
- 21.53°, intensity 34
- 25.29°, intensity 100
- 25.50°, intensity 84
- 27.92°, intensity 78
- 28.59°, intensity 60
- 30.48°, intensity 31
- 31.03°, intensity 36
- 31.18°, intensity 44
- 31.28°, intensity 38
- 31.76°, intensity 44

***

# 2
This entry pairs a crystal structure of Cs2MgGe3Se8 with its calculated X-ray powder pattern. Radiation: λ = 1.5418 Å (Cu Kα). Structure: a crystal structure in the Materials Project, relaxed with PBE.
No peak broadening, texture or thermal motion is included.

Structural model:
```
Cs2MgGe3Se8
1.0
7.8541 0.0000 0.0000
0.0000 13.2957 0.0000
0.0000 0.0000 18.1310
Cs Mg Ge Se
8 4 12 32
Direct
0.2305 0.1903 0.3476 Cs
0.2439 0.1267 0.9465 Cs
0.2561 0.8733 0.4465 Cs
0.2695 0.8097 0.8476 Cs
0.7305 0.3097 0.6524 Cs
0.7439 0.3733 0.0535 Cs
0.7561 0.6267 0.5535 Cs
0.7695 0.6903 0.1524 Cs
0.0169 0.0007 0.6523 Mg
0.4831 0.9993 0.1523 Mg
0.5169 0.4993 0.3477 Mg
0.9831 0.5007 0.8477 Mg
0.0185 0.5256 0.3465 Ge
0.2343 0.5488 0.6772 Ge
0.2391 0.5578 0.0174 Ge
0.2609 0.4422 0.5174 Ge
0.2657 0.4512 0.1772 Ge
0.4815 0.4744 0.8465 Ge
0.5185 0.9744 0.6535 Ge
0.7343 0.9512 0.3228 Ge
0.7391 0.9422 0.9826 Ge
0.7609 0.0578 0.4826 Ge
0.7657 0.0488 0.8228 Ge
0.9815 0.0256 0.1535 Ge
0.0014 0.9154 0.2621 Se
0.0024 0.4058 0.4499 Se
0.0070 0.1185 0.7671 Se
0.0131 0.1173 0.5361 Se
0.2207 0.3726 0.6401 Se
0.2287 0.1266 0.1502 Se
0.2335 0.3812 0.0534 Se
0.2357 0.3740 0.8436 Se
0.2643 0.6260 0.3436 Se
0.2665 0.6188 0.5534 Se
0.2713 0.8734 0.6502 Se
0.2793 0.6274 0.1401 Se
0.4869 0.8827 0.0361 Se
0.4930 0.8815 0.2671 Se
0.4976 0.5942 0.9499 Se
0.4986 0.0846 0.7621 Se
0.5014 0.5846 0.7379 Se
0.5024 0.0942 0.5501 Se
0.5070 0.3815 0.2329 Se
0.5131 0.3827 0.4639 Se
0.7207 0.1274 0.3599 Se
0.7287 0.3734 0.8498 Se
0.7335 0.1188 0.9466 Se
0.7357 0.1260 0.1564 Se
0.7643 0.8740 0.6564 Se
0.7665 0.8812 0.4466 Se
0.7713 0.6266 0.3498 Se
0.7793 0.8726 0.8599 Se
0.9869 0.6173 0.9639 Se
0.9930 0.6185 0.7329 Se
0.9976 0.9058 0.0501 Se
0.9986 0.4154 0.2379 Se
```

The 10 most intense peaks (5° ≤ 2θ ≤ 70°), by angle:
- 13.32°, intensity 20
- 24.91°, intensity 23
- 25.61°, intensity 35
- 26.82°, intensity 69
- 27.92°, intensity 18
- 28.03°, intensity 100
- 30.84°, intensity 32
- 45.82°, intensity 24
- 46.24°, intensity 24
- 54.94°, intensity 26

***

# 3
This entry pairs a crystal structure of CsNa2Ge17 with its calculated X-ray powder pattern. Radiation: λ = 1.5418 Å (Cu Kα). Structure: a crystal structure in the Materials Project, relaxed with PBE.
No peak broadening, texture or thermal motion is included.

Structural model:
```
CsNa2Ge17
1.0
0.0000 7.9166 7.9166
7.9166 0.0000 7.9166
7.9166 7.9166 0.0000
Cs Na Ge
2 4 34
Direct
0.1250 0.1250 0.1250 Cs
0.8750 0.8750 0.8750 Cs
0.0000 0.5000 0.5000 Na
0.5000 0.0000 0.5000 Na
0.5000 0.5000 0.0000 Na
0.5000 0.5000 0.5000 Na
0.1291 0.1291 0.5070 Ge
0.1291 0.1291 0.7349 Ge
0.1291 0.5070 0.1291 Ge
0.1291 0.5070 0.7349 Ge
0.1291 0.7349 0.1291 Ge
0.1291 0.7349 0.5070 Ge
0.2651 0.4930 0.8709 Ge
0.2651 0.8709 0.4930 Ge
0.2651 0.8709 0.8709 Ge
0.2818 0.2818 0.2818 Ge
0.2818 0.2818 0.6545 Ge
0.2818 0.6545 0.2818 Ge
0.3455 0.7182 0.7182 Ge
0.3750 0.3750 0.3750 Ge
0.4930 0.2651 0.8709 Ge
0.4930 0.8709 0.2651 Ge
0.4930 0.8709 0.8709 Ge
0.5070 0.1291 0.1291 Ge
0.5070 0.1291 0.7349 Ge
0.5070 0.7349 0.1291 Ge
0.6250 0.6250 0.6250 Ge
0.6545 0.2818 0.2818 Ge
0.7182 0.3455 0.7182 Ge
0.7182 0.7182 0.3455 Ge
0.7182 0.7182 0.7182 Ge
0.7349 0.1291 0.1291 Ge
0.7349 0.1291 0.5070 Ge
0.7349 0.5070 0.1291 Ge
0.8709 0.2651 0.4930 Ge
0.8709 0.2651 0.8709 Ge
0.8709 0.4930 0.2651 Ge
0.8709 0.4930 0.8709 Ge
0.8709 0.8709 0.2651 Ge
0.8709 0.8709 0.4930 Ge
```

The 10 most intense peaks (5° ≤ 2θ ≤ 70°), by angle:
- 19.42°, intensity 16
- 22.46°, intensity 21
- 24.51°, intensity 18
- 27.60°, intensity 37
- 29.31°, intensity 73
- 31.98°, intensity 38
- 33.48°, intensity 31
- 46.97°, intensity 35
- 48.81°, intensity 100
- 49.88°, intensity 24

***

# 4
This entry pairs a crystal structure of CsNaGe2 with its calculated X-ray powder pattern. Radiation: λ = 1.5418 Å (Cu Kα). Structure: a crystal structure in the Materials Project, relaxed with PBE.
No peak broadening, texture or thermal motion is included.

Structural model:
```
CsNaGe2
1.0
8.6204 0.0000 0.0000
0.0000 9.8567 0.0000
-4.8816 0.0000 12.5632
Cs Na Ge
8 8 16
Direct
0.0083 0.0184 0.2783 Cs
0.0083 0.4816 0.7783 Cs
0.1539 0.2040 0.0343 Cs
0.1539 0.2960 0.5343 Cs
0.8461 0.7040 0.4657 Cs
0.8461 0.7960 0.9657 Cs
0.9917 0.5184 0.2217 Cs
0.9917 0.9816 0.7217 Cs
0.4461 0.5997 0.8962 Na
0.4461 0.9003 0.3962 Na
0.4508 0.5356 0.3160 Na
0.4508 0.9644 0.8159 Na
0.5492 0.0356 0.1840 Na
0.5492 0.4644 0.6841 Na
0.5539 0.0997 0.6038 Na
0.5539 0.4003 0.1038 Na
0.2634 0.5978 0.0588 Ge
0.2634 0.9022 0.5588 Ge
0.2815 0.6897 0.6711 Ge
0.2815 0.8103 0.1711 Ge
0.3117 0.6648 0.4879 Ge
0.3117 0.8352 0.9879 Ge
0.4447 0.2232 0.3544 Ge
0.4447 0.2768 0.8544 Ge
0.5553 0.7232 0.1456 Ge
0.5553 0.7768 0.6456 Ge
0.6883 0.1648 0.0121 Ge
0.6883 0.3352 0.5121 Ge
0.7185 0.1897 0.8289 Ge
0.7185 0.3103 0.3289 Ge
0.7366 0.0978 0.4412 Ge
0.7366 0.4022 0.9412 Ge
```

The 10 most intense peaks (5° ≤ 2θ ≤ 70°), by angle:
- 21.15°, intensity 36
- 22.94°, intensity 76
- 23.13°, intensity 100
- 23.92°, intensity 45
- 26.46°, intensity 58
- 28.67°, intensity 37
- 30.45°, intensity 83
- 31.20°, intensity 53
- 34.51°, intensity 75
- 39.26°, intensity 44